Record 1
Structure and simulated powder diffractogram of La12ThAl3 (the GGA-PBE geometry in Alexandria; Cu Kα (λ = 1.5418 Å)).

Cell and atoms:
```
La12ThAl3
1.0
5.023 0.000 0.000
0.000 5.023 0.000
0.000 0.000 20.127
La Th Al
12 1 3
Direct
0.000 0.000 0.000
0.000 0.000 0.243
0.000 0.000 0.500
0.000 0.000 0.757
0.000 0.500 0.123
0.000 0.500 0.370
0.000 0.500 0.630
0.000 0.500 0.877
0.500 0.000 0.123
0.500 0.000 0.370
0.500 0.000 0.630
0.500 0.000 0.877
0.500 0.500 0.500
0.500 0.500 0.000
0.500 0.500 0.245
0.500 0.500 0.755
```

Main lines, by angle (10 to 80 degrees two-theta):
2θ/deg  I_rel
17.6  5
18.2  4
25.1  4
28.4  5
30.8  100
35.7  50
51.4  35
61.2  41
64.2  12
75.8  4

Record 2
Structure and simulated powder diffractogram of Tl2Pd5 (the GGA-PBE geometry in Alexandria; Cu Kα (λ = 1.5418 Å)).

Cell and atoms:
```
Tl2Pd5
1.0
3.406 -6.305 0.000
3.406 6.305 0.000
0.000 0.000 5.855
Tl Pd
4 10
Direct
0.093 0.304 0.000
0.304 0.093 0.500
0.696 0.907 0.500
0.907 0.696 0.000
0.099 0.341 0.500
0.268 0.732 0.250
0.268 0.732 0.750
0.341 0.099 0.000
0.500 0.500 0.250
0.500 0.500 0.750
0.659 0.901 0.000
0.732 0.268 0.250
0.732 0.268 0.750
0.901 0.659 0.500
```

Main lines, by angle (10 to 80 degrees two-theta):
2θ/deg  I_rel
29.3  23
34.1  31
38.0  25
38.9  97
40.4  33
40.6  100
42.1  96
63.6  47
73.7  18
77.1  26

Record 3
Structure and simulated powder diffractogram of Tb8Er4Tm (the GGA-PBE geometry in Alexandria; Cu Kα (λ = 1.5418 Å)).

Cell and atoms:
```
Tb8Er4Tm
1.0
3.595 2.076 9.213
-3.595 2.076 9.213
0.000 -4.151 9.213
Tb Er Tm
8 4 1
Direct
0.203 0.751 0.751
0.214 0.214 0.214
0.249 0.249 0.797
0.249 0.797 0.249
0.751 0.203 0.751
0.751 0.751 0.203
0.786 0.786 0.786
0.797 0.249 0.249
0.000 0.000 0.000
0.000 0.500 0.500
0.500 0.000 0.500
0.500 0.500 0.000
0.500 0.500 0.500
```

Main lines, by angle (10 to 80 degrees two-theta):
2θ/deg  I_rel
28.9  15
29.1  25
31.5  100
33.0  34
35.5  8
38.9  30
50.8  28
52.1  13
59.6  18
61.0  13

Record 4
Structure and simulated powder diffractogram of TbPr7Cd2 (the GGA-PBE geometry in Alexandria; Cu Kα (λ = 1.5418 Å)).

Cell and atoms:
```
TbPr7Cd2
1.0
4.591 -8.179 0.000
4.591 8.179 0.000
0.000 0.000 5.392
Tb Pr Cd
1 7 2
Direct
0.000 0.000 0.000
0.066 0.300 0.500
0.223 0.777 0.000
0.300 0.066 0.500
0.500 0.500 0.500
0.700 0.934 0.500
0.777 0.223 0.000
0.934 0.700 0.500
0.304 0.696 0.500
0.696 0.304 0.500
```

Main lines, by angle (10 to 80 degrees two-theta):
2θ/deg  I_rel
16.4  37
19.9  25
27.4  48
29.2  66
33.2  51
33.5  100
34.1  67
44.8  41
60.3  26
61.8  22

Record 5
Structure and simulated powder diffractogram of LaTcO4F (the GGA-PBE geometry in Alexandria; Cu Kα (λ = 1.5418 Å)).

Cell and atoms:
```
LaTcO4F
1.0
5.021 -3.796 0.000
5.021 3.796 0.000
-1.942 0.000 6.883
La Tc O F
2 2 8 2
Direct
0.202 0.202 0.100
0.798 0.798 0.900
0.354 0.354 0.715
0.646 0.646 0.285
0.119 0.475 0.847
0.261 0.261 0.469
0.465 0.465 0.231
0.475 0.119 0.847
0.525 0.881 0.153
0.535 0.535 0.769
0.739 0.739 0.531
0.881 0.525 0.153
0.012 0.012 0.824
0.988 0.988 0.176
```

Main lines, by angle (10 to 80 degrees two-theta):
2θ/deg  I_rel
12.9  56
18.4  55
23.4  100
25.2  54
27.7  79
29.7  44
34.7  56
43.9  31
44.6  30
45.3  22

Record 6
Structure and simulated powder diffractogram of KZnCo2Br8 (the GGA-PBE geometry in Alexandria; Cu Kα (λ = 1.5418 Å)).

Cell and atoms:
```
KZnCo2Br8
1.0
3.321 1.917 9.744
-3.321 1.917 9.744
0.000 -3.835 9.744
K Zn Co Br
1 1 2 8
Direct
0.000 0.000 0.000
0.500 0.500 0.500
0.244 0.244 0.244
0.756 0.756 0.756
0.125 0.442 0.771
0.229 0.875 0.558
0.324 0.324 0.324
0.442 0.771 0.125
0.558 0.229 0.875
0.676 0.676 0.676
0.771 0.125 0.442
0.875 0.558 0.229
```

Main lines, by angle (10 to 80 degrees two-theta):
2θ/deg  I_rel
15.7  14
19.6  24
27.5  39
28.4  100
32.6  75
46.2  49
47.4  48
54.6  18
55.7  30
68.4  14

Record 7
Structure and simulated powder diffractogram of TbSc5Pb3 (the GGA-PBE geometry in Alexandria; Cu Kα (λ = 1.5418 Å)).

Cell and atoms:
```
TbSc5Pb3
1.0
8.954 0.000 0.000
-4.477 7.754 0.000
0.000 0.000 6.336
Tb Sc Pb
2 10 6
Direct
0.000 0.000 0.000
0.000 0.000 0.500
0.000 0.336 0.250
0.000 0.664 0.750
0.333 0.667 0.000
0.333 0.667 0.500
0.336 0.000 0.250
0.336 0.336 0.750
0.664 0.000 0.750
0.664 0.664 0.250
0.667 0.333 0.000
0.667 0.333 0.500
0.000 0.336 0.750
0.000 0.664 0.250
0.336 0.000 0.750
0.336 0.336 0.250
0.664 0.000 0.250
0.664 0.664 0.750
```

Main lines, by angle (10 to 80 degrees two-theta):
2θ/deg  I_rel
11.4  8
24.3  46
34.7  100
42.8  11
45.3  14
47.6  8
49.9  15
56.3  11
62.2  26
69.6  19

Record 8
Structure and simulated powder diffractogram of Li3Ag4Pb2 (the GGA-PBE geometry in Alexandria; Cu Kα (λ = 1.5418 Å)).

Cell and atoms:
```
Li3Ag4Pb2
1.0
4.681 -2.464 0.000
4.681 2.464 0.000
-4.568 0.000 7.470
Li Ag Pb
3 4 2
Direct
0.000 0.000 0.000
0.350 0.350 0.678
0.650 0.650 0.322
0.004 0.004 0.332
0.339 0.339 0.990
0.661 0.661 0.010
0.996 0.996 0.668
0.319 0.319 0.318
0.681 0.681 0.682
```

Main lines, by angle (10 to 80 degrees two-theta):
2θ/deg  I_rel
19.0  40
27.1  64
27.3  48
36.1  49
36.5  50
38.4  100
38.9  82
41.4  18
52.2  34
67.0  31

Record 9
Structure and simulated powder diffractogram of Ca2NdSm5 (the GGA-PBE geometry in Alexandria; Cu Kα (λ = 1.5418 Å)).

Cell and atoms:
```
Ca2NdSm5
1.0
5.202 0.000 0.000
0.000 5.202 0.000
0.000 0.000 21.092
Ca Nd Sm
4 2 10
Direct
0.000 0.000 0.250
0.000 0.000 0.750
0.500 0.500 0.250
0.500 0.500 0.750
0.000 0.000 0.000
0.500 0.500 0.500
0.000 0.000 0.500
0.000 0.500 0.117
0.000 0.500 0.383
0.000 0.500 0.617
0.000 0.500 0.883
0.500 0.000 0.117
0.500 0.000 0.383
0.500 0.000 0.617
0.500 0.000 0.883
0.500 0.500 0.000
```

Main lines, by angle (10 to 80 degrees two-theta):
2θ/deg  I_rel
29.6  100
34.0  16
34.5  34
35.3  10
49.2  23
49.6  12
58.2  12
58.8  28
61.5  12
79.9  10

Record 10
Structure and simulated powder diffractogram of Er3GaRh8 (the GGA-PBE geometry in Alexandria; Cu Kα (λ = 1.5418 Å)).

Cell and atoms:
```
Er3GaRh8
1.0
2.632 1.520 8.642
-2.632 1.520 8.642
0.000 -3.039 8.642
Er Ga Rh
3 1 8
Direct
0.000 0.000 0.000
0.129 0.129 0.129
0.617 0.617 0.617
0.494 0.494 0.494
0.062 0.062 0.562
0.062 0.562 0.062
0.064 0.562 0.562
0.312 0.312 0.312
0.562 0.062 0.062
0.562 0.064 0.562
0.562 0.562 0.064
0.813 0.813 0.813
```

Main lines, by angle (10 to 80 degrees two-theta):
2θ/deg  I_rel
33.9  24
34.1  25
40.0  33
40.1  100
41.8  10
42.0  32
60.9  14
65.0  31
71.4  16
71.7  17

Record 11
Structure and simulated powder diffractogram of HfZr4Zn5 (the GGA-PBE geometry in Alexandria; Cu Kα (λ = 1.5418 Å)).

Cell and atoms:
```
HfZr4Zn5
1.0
3.332 0.000 0.000
0.000 3.332 0.000
0.000 0.000 16.693
Hf Zr Zn
1 4 5
Direct
0.000 0.000 0.000
0.000 0.000 0.199
0.000 0.000 0.399
0.000 0.000 0.601
0.000 0.000 0.801
0.500 0.500 0.097
0.500 0.500 0.299
0.500 0.500 0.500
0.500 0.500 0.701
0.500 0.500 0.903
```

Main lines, by angle (10 to 80 degrees two-theta):
2θ/deg  I_rel
10.6  3
15.9  1
26.7  6
27.3  1
38.2  100
47.2  2
55.0  6
55.1  11
62.2  2
69.0  33

Record 12
Structure and simulated powder diffractogram of CePrO4 (the GGA-PBE geometry in Alexandria; Cu Kα (λ = 1.5418 Å)).

Cell and atoms:
```
CePrO4
1.0
3.918 0.000 0.000
0.000 3.918 0.000
0.000 0.000 5.678
Ce Pr O
1 1 4
Direct
0.000 0.000 0.000
0.500 0.500 0.500
0.000 0.500 0.237
0.000 0.500 0.763
0.500 0.000 0.237
0.500 0.000 0.763
```

Main lines, by angle (10 to 80 degrees two-theta):
2θ/deg  I_rel
27.7  100
31.5  10
32.3  19
45.8  37
46.3  18
53.8  16
54.8  30
57.1  9
73.7  12
74.6  6

Record 13
Structure and simulated powder diffractogram of Sr3CuPtO6 (the GGA-PBE geometry in Alexandria; Cu Kα (λ = 1.5418 Å)).

Cell and atoms:
```
Sr3CuPtO6
1.0
4.741 -4.922 0.000
4.741 4.922 0.000
-0.137 0.000 6.756
Sr Cu Pt O
6 2 2 12
Direct
0.098 0.902 0.750
0.240 0.390 0.623
0.390 0.240 0.123
0.610 0.760 0.877
0.760 0.610 0.377
0.902 0.098 0.250
0.307 0.693 0.250
0.693 0.307 0.750
0.000 0.500 0.000
0.500 0.000 0.500
0.078 0.218 0.931
0.104 0.478 0.285
0.218 0.078 0.431
0.282 0.607 0.963
0.393 0.718 0.537
0.478 0.104 0.785
0.522 0.896 0.215
0.607 0.282 0.463
0.718 0.393 0.037
0.782 0.922 0.569
0.896 0.522 0.715
0.922 0.782 0.069
```

Main lines, by angle (10 to 80 degrees two-theta):
2θ/deg  I_rel
18.3  44
18.6  45
18.7  26
29.5  41
29.7  34
31.7  100
32.2  59
37.7  25
42.1  26
44.2  35